For TaCr4Cu, a crystal structure in Alexandria, relaxed with GGA-PBE gives the theoretical X-ray powder pattern in this record (Cu Kα (weighted mean of Kα1 and Kα2)).
Peak positions follow from Bragg's law for the DFT cell and can differ from measured ones.

Peak list (10 most intense, 15 to 90 degrees two-theta, by angle)
d = 3.925 Å, 22.7°, intensity 22, hkl 1 1 1
d = 3.399 Å, 26.2°, intensity 14, hkl 2 0 0
d = 2.403 Å, 37.4°, intensity 58, hkl 2 2 0
d = 2.050 Å, 44.2°, intensity 100, hkl 3 1 1
d = 1.962 Å, 46.3°, intensity 19, hkl 2 2 2
d = 1.560 Å, 59.2°, intensity 6, hkl 3 3 1
d = 1.520 Å, 60.9°, intensity 6, hkl 4 2 0
d = 1.388 Å, 67.5°, intensity 20, hkl 4 2 2
d = 1.308 Å, 72.2°, intensity 29, hkl 5 1 1
d = 1.202 Å, 79.8°, intensity 20, hkl 4 4 0

Cell and atoms:
```
data_TaCr4Cu
_chemical_formula_sum 'Ta4 Cr16 Cu4'
_space_group_name_H-M_alt 'F -4 3 m'
_space_group_IT_number 216
_space_group_name_Hall 'F -4 2 3'
_cell_length_a 6.7981
_cell_length_b 6.7981
_cell_length_c 6.7981
_cell_angle_alpha 90.00
_cell_angle_beta 90.00
_cell_angle_gamma 90.00
loop_
_atom_site_label
_atom_site_fract_x
_atom_site_fract_y
_atom_site_fract_z
Ta1 0.0000 0.0000 0.0000
Cr1 0.1245 0.1245 0.3755
Cu1 0.2500 0.2500 0.7500
```